The following is a calculated XRD peak list of Tb6Er3Tm2. It was derived from a PBE-relaxed structure, using Cu Ka.
Neutral-atom scattering factors, no anomalous dispersion.

Main lines, by angle (10° ≤ 2θ ≤ 90°):
| 2θ (°) | I_rel |
| --- | --- |
| 31.06 | 100 |
| 31.18 | 33 |
| 36.06 | 67 |
| 51.84 | 24 |
| 51.98 | 24 |
| 61.72 | 43 |
| 61.87 | 14 |
| 64.77 | 12 |
| 76.48 | 8 |
| 84.70 | 12 |
| 87.47 | 11 |
| 87.69 | 11 |

Cell lengths 31.6237, 31.6237, 31.6237 Å; angles 6.39, 6.39, 6.39 degrees
Sites, in units of the cell vectors:
Tb 0.0910 0.0910 0.0910
Tb 0.1820 0.1820 0.1820
Tb 0.3636 0.3636 0.3636
Tb 0.6364 0.6364 0.6364
Tb 0.8180 0.8180 0.8180
Tb 0.9090 0.9090 0.9090
Er 0.0000 0.0000 0.0000
Er 0.2727 0.2727 0.2727
Er 0.7273 0.7273 0.7273
Tm 0.4545 0.4545 0.4545
Tm 0.5455 0.5455 0.5455

=====

The following is a calculated XRD peak list of In3Hg2Br3. It was derived from a PBE-relaxed structure, using Cu Ka.
Neutral-atom scattering factors, no anomalous dispersion.

Main lines, by angle (10° ≤ 2θ ≤ 90°):
| 2θ (°) | I_rel |
| --- | --- |
| 10.73 | 22 |
| 17.23 | 26 |
| 22.62 | 20 |
| 27.01 | 21 |
| 28.54 | 45 |
| 28.84 | 100 |
| 31.39 | 20 |
| 31.65 | 25 |
| 32.37 | 48 |
| 32.58 | 95 |
| 43.14 | 21 |
| 44.06 | 39 |

Cell lengths 6.3744, 6.3744, 16.4969 Å; angles 90.45, 90.45, 58.10 degrees
Sites, in units of the cell vectors:
In 0.0000 0.0000 0.0000
In 0.0035 0.0035 0.3617
In 0.3639 0.3639 0.4960
In 0.3676 0.3676 0.8692
In 0.4511 0.4511 0.1780
In 0.8856 0.8856 0.6755
Hg 0.1028 0.1028 0.7963
Hg 0.5892 0.5892 0.0080
Hg 0.5951 0.5951 0.3490
Hg 0.7658 0.7658 0.5008
Br 0.1030 0.1030 0.5384
Br 0.2589 0.2589 0.3111
Br 0.2618 0.2618 0.0460
Br 0.4261 0.4261 0.6782
Br 0.7704 0.7704 0.8472
Br 0.9211 0.9211 0.1689

=====

The following is a calculated XRD peak list of Er4Co3Cu. It was derived from a PBE-relaxed structure, using Cu Ka.
Neutral-atom scattering factors, no anomalous dispersion.

Main lines, by angle (10° ≤ 2θ ≤ 90°):
| 2θ (°) | I_rel |
| --- | --- |
| 28.54 | 41 |
| 33.31 | 100 |
| 34.91 | 54 |
| 35.20 | 21 |
| 41.90 | 39 |
| 42.15 | 20 |
| 45.83 | 23 |
| 46.24 | 22 |
| 58.88 | 24 |
| 59.11 | 21 |
| 67.14 | 14 |
| 78.17 | 19 |

Cell lengths 3.9269, 3.9600, 10.1990 Å; angles 90.00, 90.00, 90.00 degrees
Sites, in units of the cell vectors:
Er 0.0000 0.0000 0.0000
Er 0.0000 0.5000 0.2816
Er 0.5000 0.0000 0.4906
Er 0.5000 0.5000 0.7792
Co 0.0000 0.5000 0.5673
Co 0.5000 0.0000 0.1943
Co 0.5000 0.5000 0.0787
Cu 0.0000 0.0000 0.7062

=====

The following is a calculated XRD peak list of CrAsBr2. It was derived from a PBE-relaxed structure, using Cu Ka.
Neutral-atom scattering factors, no anomalous dispersion.

Main lines, by angle (10° ≤ 2θ ≤ 90°):
| 2θ (°) | I_rel |
| --- | --- |
| 28.41 | 36 |
| 29.11 | 100 |
| 29.67 | 26 |
| 34.50 | 23 |
| 35.92 | 43 |
| 37.06 | 18 |
| 42.31 | 20 |
| 43.90 | 20 |
| 47.66 | 20 |
| 49.72 | 27 |
| 51.44 | 20 |
| 61.09 | 17 |

Cell lengths 5.1041, 3.8164, 5.3689 Å; angles 90.00, 106.19, 90.00 degrees
Sites, in units of the cell vectors:
Cr 0.0000 0.0000 0.0000
As 0.1639 0.5000 0.3020
Br 0.4872 0.0000 0.9396
Br 0.8615 0.5000 0.5986

=====

The following is a calculated XRD peak list of CrCo2Pb. It was derived from a PBE-relaxed structure, using Cu Ka.
Neutral-atom scattering factors, no anomalous dispersion.

Main lines, by angle (10° ≤ 2θ ≤ 90°):
| 2θ (°) | I_rel |
| --- | --- |
| 18.20 | 23 |
| 22.01 | 26 |
| 25.84 | 31 |
| 31.33 | 28 |
| 32.29 | 30 |
| 38.38 | 100 |
| 39.38 | 45 |
| 44.89 | 33 |
| 46.84 | 59 |
| 47.07 | 23 |
| 48.07 | 20 |
| 64.53 | 27 |

Cell lengths 8.2266, 2.9521, 4.9650 Å; angles 90.00, 100.95, 90.00 degrees
Sites, in units of the cell vectors:
Cr 0.0000 0.0000 0.0000
Cr 0.5000 0.5000 0.0000
Co 0.2374 0.5000 0.1925
Co 0.2626 0.0000 0.8075
Co 0.7374 0.0000 0.1925
Co 0.7626 0.5000 0.8075
Pb 0.0000 0.5000 0.5000
Pb 0.5000 0.0000 0.5000

=====

The following is a calculated XRD peak list of CuF6. It was derived from a PBE-relaxed structure, using Cu Ka.
Neutral-atom scattering factors, no anomalous dispersion.

Main lines, by angle (10° ≤ 2θ ≤ 90°):
| 2θ (°) | I_rel |
| --- | --- |
| 15.06 | 31 |
| 20.06 | 15 |
| 21.85 | 100 |
| 23.37 | 48 |
| 28.77 | 67 |
| 37.01 | 21 |
| 40.77 | 19 |
| 41.74 | 18 |
| 43.40 | 18 |
| 48.93 | 13 |
| 53.36 | 22 |
| 62.08 | 15 |

Cell lengths 10.3276, 5.6304, 7.1609 Å; angles 90.00, 90.00, 90.00 degrees
Sites, in units of the cell vectors:
Cu 0.1503 0.2500 0.0679
Cu 0.3497 0.7500 0.5679
Cu 0.6503 0.2500 0.4321
Cu 0.8497 0.7500 0.9321
F 0.0119 0.2500 0.5890
F 0.0644 0.7500 0.5770
F 0.1039 0.0279 0.9070
F 0.1039 0.4721 0.9070
F 0.1915 0.0281 0.2296
F 0.1915 0.4719 0.2296
F 0.3085 0.5281 0.7296
F 0.3085 0.9719 0.7296
F 0.3961 0.5279 0.4070
F 0.3961 0.9721 0.4070
F 0.4356 0.2500 0.0770
F 0.4881 0.7500 0.0890
F 0.5119 0.2500 0.9110
F 0.5644 0.7500 0.9230
F 0.6039 0.0279 0.5930
F 0.6039 0.4721 0.5930
F 0.6915 0.0281 0.2704
F 0.6915 0.4719 0.2704
F 0.8085 0.5281 0.7704
F 0.8085 0.9719 0.7704
F 0.8961 0.5279 0.0930
F 0.8961 0.9721 0.0930
F 0.9356 0.2500 0.4230
F 0.9881 0.7500 0.4110

=====

The following is a calculated XRD peak list of ErTmAg6. It was derived from a PBE-relaxed structure, using Cu Ka.
Neutral-atom scattering factors, no anomalous dispersion.

Main lines, by angle (10° ≤ 2θ ≤ 90°):
| 2θ (°) | I_rel |
| --- | --- |
| 36.00 | 100 |
| 40.95 | 17 |
| 41.31 | 17 |
| 43.16 | 15 |
| 59.57 | 11 |
| 61.27 | 10 |
| 71.29 | 6 |
| 71.43 | 6 |
| 71.86 | 13 |
| 74.39 | 6 |
| 74.52 | 6 |
| 76.26 | 5 |

Cell lengths 9.4614, 4.3715, 8.8166 Å; angles 90.00, 117.60, 90.00 degrees
Sites, in units of the cell vectors:
Er 0.0000 0.0000 0.0000
Er 0.5000 0.5000 0.0000
Tm 0.0000 0.0000 0.5000
Tm 0.5000 0.5000 0.5000
Ag 0.9996 0.5000 0.2505
Ag 0.0004 0.5000 0.7495
Ag 0.2495 0.0000 0.8739
Ag 0.2500 0.0000 0.3755
Ag 0.2500 0.5000 0.6245
Ag 0.2505 0.5000 0.1261
Ag 0.4996 0.0000 0.2505
Ag 0.5004 0.0000 0.7495
Ag 0.7495 0.5000 0.8739
Ag 0.7500 0.0000 0.6245
Ag 0.7500 0.5000 0.3755
Ag 0.7505 0.0000 0.1261

=====

The following is a calculated XRD peak list of AcLa2Tb2Pr2. It was derived from a PBE-relaxed structure, using Cu Ka.
Neutral-atom scattering factors, no anomalous dispersion.

Main lines, by angle (10° ≤ 2θ ≤ 90°):
| 2θ (°) | I_rel |
| --- | --- |
| 29.34 | 100 |
| 29.46 | 99 |
| 33.94 | 68 |
| 34.34 | 33 |
| 48.60 | 12 |
| 48.91 | 12 |
| 49.06 | 49 |
| 57.86 | 30 |
| 58.07 | 29 |
| 58.50 | 29 |
| 60.86 | 13 |
| 61.13 | 13 |

Cell lengths 11.7776, 5.2222, 8.3738 Å; angles 90.00, 97.96, 90.00 degrees
Sites, in units of the cell vectors:
Ac 0.0000 0.0000 0.0000
Ac 0.5000 0.5000 0.0000
La 0.1409 0.0000 0.4308
La 0.3591 0.5000 0.5692
La 0.6409 0.5000 0.4308
La 0.8591 0.0000 0.5692
Tb 0.0728 0.5000 0.7097
Tb 0.4272 0.0000 0.2903
Tb 0.5728 0.0000 0.7097
Tb 0.9272 0.5000 0.2903
Pr 0.2156 0.5000 0.1471
Pr 0.2844 0.0000 0.8529
Pr 0.7156 0.0000 0.1471
Pr 0.7844 0.5000 0.8529

=====

The following is a calculated XRD peak list of Sr3P6N8O6. It was derived from a PBE-relaxed structure, using Cu Ka.
Neutral-atom scattering factors, no anomalous dispersion.

Main lines, by angle (10° ≤ 2θ ≤ 90°):
| 2θ (°) | I_rel |
| --- | --- |
| 24.16 | 34 |
| 28.27 | 100 |
| 31.62 | 66 |
| 32.45 | 66 |
| 37.28 | 16 |
| 38.24 | 19 |
| 42.50 | 33 |
| 45.13 | 27 |
| 48.03 | 30 |
| 49.48 | 20 |
| 59.34 | 17 |
| 71.43 | 26 |

Cell lengths 7.3687, 7.3687, 6.1194 Å; angles 90.00, 90.00, 120.00 degrees
Sites, in units of the cell vectors:
Sr 0.0000 0.0000 0.0000
Sr 0.3333 0.6667 0.1169
Sr 0.6667 0.3333 0.8831
P 0.1770 0.3985 0.6096
P 0.2215 0.8230 0.6096
P 0.3985 0.2215 0.3904
P 0.6015 0.7785 0.6096
P 0.7785 0.1770 0.3904
P 0.8230 0.6015 0.3904
N 0.0277 0.3312 0.3962
N 0.3035 0.9723 0.3962
N 0.3312 0.3035 0.6038
N 0.3333 0.6667 0.5783
N 0.6667 0.3333 0.4217
N 0.6688 0.6965 0.3962
N 0.6965 0.0277 0.6038
N 0.9723 0.6688 0.6038
O 0.0769 0.3641 0.8380
O 0.2872 0.9231 0.8380
O 0.3641 0.2872 0.1620
O 0.6359 0.7128 0.8380
O 0.7128 0.0769 0.1620
O 0.9231 0.6359 0.1620

=====

The following is a calculated XRD peak list of ErGe4Ir5. It was derived from a PBE-relaxed structure, using Cu Ka.
Neutral-atom scattering factors, no anomalous dispersion.

Main lines, by angle (10° ≤ 2θ ≤ 90°):
| 2θ (°) | I_rel |
| --- | --- |
| 19.91 | 18 |
| 20.18 | 25 |
| 29.64 | 25 |
| 32.06 | 100 |
| 36.00 | 20 |
| 38.07 | 53 |
| 40.46 | 42 |
| 41.04 | 33 |
| 46.03 | 97 |
| 46.42 | 21 |
| 50.98 | 21 |
| 76.33 | 19 |

Cell lengths 7.1647, 8.9172, 5.5755 Å; angles 90.00, 90.00, 90.00 degrees
Sites, in units of the cell vectors:
Er 0.2500 0.2500 0.0094
Er 0.7500 0.7500 0.9906
Ge 0.0502 0.2500 0.5113
Ge 0.2500 0.5873 0.0660
Ge 0.2500 0.9127 0.0660
Ge 0.4498 0.2500 0.5113
Ge 0.5502 0.7500 0.4887
Ge 0.7500 0.0873 0.9340
Ge 0.7500 0.4127 0.9340
Ge 0.9498 0.7500 0.4887
Ir 0.0316 0.0090 0.7414
Ir 0.0316 0.4910 0.7414
Ir 0.2500 0.7500 0.7101
Ir 0.4684 0.0090 0.7414
Ir 0.4684 0.4910 0.7414
Ir 0.5316 0.5090 0.2586
Ir 0.5316 0.9910 0.2586
Ir 0.7500 0.2500 0.2899
Ir 0.9684 0.5090 0.2586
Ir 0.9684 0.9910 0.2586